Computed powder X-ray diffraction pattern of Ag5AuF4 for CuKα, from a DFT-relaxed cell (PBE, Alexandria).

The 10 most intense peaks (2θ = 10–80°), in order of rising 2θ:
- 2θ 16.57, I 32.9
- 2θ 17.59, I 44.0
- 2θ 30.94, I 100.0
- 2θ 31.29, I 45.0
- 2θ 33.57, I 30.0
- 2θ 34.97, I 64.2
- 2θ 37.58, I 57.6
- 2θ 44.89, I 29.0
- 2θ 48.51, I 21.0
- 2θ 51.21, I 28.5

Cell and atoms:
```
Ag5AuF4
1.0
3.123 -5.351 0.000
3.123 5.351 0.000
-2.254 0.000 5.132
Ag Au F
5 1 4
Direct
0.000 0.000 0.000 Ag
0.162 0.894 0.451 Ag
0.478 0.746 0.993 Ag
0.746 0.478 0.993 Ag
0.894 0.162 0.451 Ag
0.647 0.647 0.432 Au
0.049 0.370 0.917 F
0.269 0.579 0.528 F
0.370 0.049 0.917 F
0.579 0.269 0.528 F
```

Computed powder X-ray diffraction pattern of PuPb3S6 for CuKα, from a DFT-relaxed cell (PBE, Alexandria).

The 10 most intense peaks (2θ = 10–80°), in order of rising 2θ:
- 2θ 21.95, I 100.0
- 2θ 22.92, I 96.1
- 2θ 24.34, I 46.2
- 2θ 25.11, I 48.6
- 2θ 26.69, I 71.2
- 2θ 29.17, I 67.6
- 2θ 40.11, I 44.1
- 2θ 40.94, I 34.3
- 2θ 43.77, I 51.0
- 2θ 44.70, I 37.3

Cell and atoms:
```
PuPb3S6
1.0
11.669 0.000 0.000
0.000 4.055 0.000
-3.034 0.000 11.828
Pu Pb S
2 6 12
Direct
0.020 0.250 0.155 Pu
0.980 0.750 0.845 Pu
0.168 0.250 0.587 Pb
0.343 0.750 0.979 Pb
0.444 0.250 0.339 Pb
0.556 0.750 0.661 Pb
0.657 0.250 0.021 Pb
0.832 0.750 0.413 Pb
0.091 0.750 0.320 S
0.107 0.250 0.966 S
0.169 0.750 0.737 S
0.198 0.750 0.209 S
0.398 0.250 0.583 S
0.466 0.250 0.117 S
0.534 0.750 0.883 S
0.602 0.750 0.417 S
0.802 0.250 0.791 S
0.831 0.250 0.263 S
0.893 0.750 0.034 S
0.909 0.250 0.680 S
```

Computed powder X-ray diffraction pattern of AcPm3Tm8 for CuKα, from a DFT-relaxed cell (PBE, Alexandria).

The 10 most intense peaks (2θ = 10–80°), in order of rising 2θ:
- 2θ 15.98, I 12.9
- 2θ 30.75, I 12.7
- 2θ 31.33, I 100.0
- 2θ 32.27, I 14.1
- 2θ 32.43, I 26.8
- 2θ 36.01, I 33.6
- 2θ 51.99, I 15.3
- 2θ 55.64, I 13.2
- 2θ 55.81, I 12.4
- 2θ 65.29, I 16.3

Cell and atoms:
```
AcPm3Tm8
1.0
-3.156 5.701 5.815
3.156 -5.701 5.815
3.156 5.701 -5.815
Ac Pm Tm
1 3 8
Direct
0.000 0.000 0.000 Ac
0.257 0.500 0.757 Pm
0.500 0.000 0.500 Pm
0.743 0.500 0.243 Pm
0.073 0.822 0.251 Tm
0.259 0.012 0.753 Tm
0.259 0.506 0.247 Tm
0.429 0.178 0.251 Tm
0.571 0.822 0.749 Tm
0.741 0.494 0.753 Tm
0.741 0.988 0.247 Tm
0.927 0.178 0.749 Tm
```

Computed powder X-ray diffraction pattern of Fe3IrRh6 for CuKα, from a DFT-relaxed cell (PBE, Alexandria).

The 10 most intense peaks (2θ = 10–80°), in order of rising 2θ:
- 2θ 10.37, I 5.0
- 2θ 10.54, I 11.3
- 2θ 14.95, I 5.5
- 2θ 41.21, I 100.0
- 2θ 47.47, I 16.5
- 2θ 47.65, I 16.4
- 2θ 48.73, I 15.1
- 2θ 69.54, I 10.3
- 2θ 70.39, I 9.7
- 2θ 70.54, I 9.7

Cell and atoms:
```
Fe3IrRh6
1.0
8.395 0.000 0.000
0.000 3.817 0.000
-0.163 0.000 8.527
Fe Ir Rh
6 2 12
Direct
0.049 0.250 0.398 Fe
0.146 0.750 0.199 Fe
0.246 0.250 0.999 Fe
0.754 0.750 0.001 Fe
0.854 0.250 0.801 Fe
0.951 0.750 0.602 Fe
0.451 0.250 0.599 Ir
0.549 0.750 0.401 Ir
0.049 0.750 0.899 Rh
0.146 0.250 0.696 Rh
0.244 0.750 0.495 Rh
0.343 0.250 0.296 Rh
0.348 0.750 0.802 Rh
0.446 0.750 0.100 Rh
0.554 0.250 0.900 Rh
0.652 0.250 0.198 Rh
0.657 0.750 0.704 Rh
0.756 0.250 0.505 Rh
0.854 0.750 0.304 Rh
0.951 0.250 0.101 Rh
```